No. 1
Structure and computed PXRD pattern of CdHg2N (a cell relaxed with GGA-PBE; Cu Kα (weighted mean of Kα1 and Kα2)).
Intensities are scaled so that the largest is 100.

Structure:
```
data_CdHg2N
_chemical_formula_sum 'Cd4 Hg8 N4'
_cell_length_a 6.285
_cell_length_b 6.285
_cell_length_c 10.601
_cell_angle_alpha 90.00
_cell_angle_beta 90.00
_cell_angle_gamma 90.00
_symmetry_space_group_name_H-M 'I -4 2 d'
_symmetry_Int_Tables_number 122
_symmetry_space_group_name_Hall 'I -4 2bw'
loop_
_atom_site_label
_atom_site_fract_x
_atom_site_fract_y
_atom_site_fract_z
_atom_site_occupancy
Cd1 0.000 0.000 0.000 1
Hg1 0.130 0.250 0.625 1
N1 0.000 0.000 0.500 1
```

Largest 10 diffraction maxima, by intensity, 10 to 90 degrees two-theta:
| hkl | 2θ/deg | intensity |
| --- | --- | --- |
| 1 1 2 | 26.17 | 100 |
| 2 1 1 | 32.97 | 91 |
| 1 0 3 | 28.99 | 33 |
| 2 0 4 | 44.73 | 27 |
| 2 1 3 | 41.03 | 27 |
| 3 2 3 | 59.09 | 19 |
| 2 0 2 | 33.14 | 19 |
| 3 1 0 | 45.64 | 17 |
| 3 1 4 | 58.00 | 17 |
| 4 0 2 | 61.56 | 15 |

No. 2
Structure and computed PXRD pattern of RbYCdF6 (a cell relaxed with GGA-PBE; Cu Kα (weighted mean of Kα1 and Kα2)).
Intensities are scaled so that the largest is 100.

Structure:
```
data_RbYCdF6
_chemical_formula_sum 'Rb4 Y4 Cd4 F24'
_cell_length_a 8.005
_cell_length_b 8.365
_cell_length_c 11.818
_cell_angle_alpha 90.00
_cell_angle_beta 90.00
_cell_angle_gamma 90.00
_symmetry_space_group_name_H-M 'I m m a'
_symmetry_Int_Tables_number 74
_symmetry_space_group_name_Hall '-I 2b 2'
loop_
_atom_site_label
_atom_site_fract_x
_atom_site_fract_y
_atom_site_fract_z
_atom_site_occupancy
Rb1 0.000 0.250 0.058 1
Y1 0.000 0.000 0.500 1
Cd1 0.250 0.250 0.750 1
F1 0.000 0.250 0.439 1
F2 0.000 0.250 0.827 1
F3 0.202 0.056 0.617 1
```

Largest 10 diffraction maxima, by intensity, 10 to 90 degrees two-theta:
| hkl | 2θ/deg | intensity |
| --- | --- | --- |
| 1 2 1 | 25.18 | 100 |
| 0 1 1 | 12.97 | 91 |
| 2 0 2 | 26.90 | 90 |
| 2 1 1 | 25.80 | 64 |
| 0 1 3 | 24.99 | 55 |
| 2 2 4 | 43.81 | 41 |
| 2 4 2 | 51.69 | 40 |
| 0 3 3 | 39.60 | 31 |
| 2 1 5 | 45.89 | 30 |
| 0 2 2 | 26.10 | 28 |

No. 3
Structure and computed PXRD pattern of VRhI (a cell relaxed with GGA-PBE; Cu Kα (weighted mean of Kα1 and Kα2)).
Intensities are scaled so that the largest is 100.

Structure:
```
data_VRhI
_chemical_formula_sum 'V4 Rh4 I4'
_cell_length_a 3.967
_cell_length_b 3.907
_cell_length_c 17.707
_cell_angle_alpha 90.00
_cell_angle_beta 90.00
_cell_angle_gamma 90.00
_symmetry_space_group_name_H-M 'A m m 2'
_symmetry_Int_Tables_number 38
_symmetry_space_group_name_Hall 'A 2 -2'
loop_
_atom_site_label
_atom_site_fract_x
_atom_site_fract_y
_atom_site_fract_z
_atom_site_occupancy
V1 0.000 0.000 0.000 1
V2 0.500 0.000 0.498 1
Rh1 0.000 0.000 0.412 1
Rh2 0.500 0.000 0.906 1
I1 0.000 0.000 0.792 1
I2 0.500 0.000 0.110 1
```

Largest 10 diffraction maxima, by intensity, 10 to 90 degrees two-theta:
| hkl | 2θ/deg | intensity |
| --- | --- | --- |
| 1 1 5 | 41.25 | 100 |
| 0 1 3 | 27.37 | 34 |
| 1 0 2 | 24.59 | 33 |
| 0 0 6 | 30.27 | 27 |
| 1 1 3 | 35.66 | 23 |
| 2 0 0 | 45.74 | 20 |
| 2 2 0 | 67.23 | 19 |
| 0 2 0 | 46.48 | 19 |
| 1 1 1 | 32.56 | 18 |
| 0 1 1 | 23.31 | 14 |

No. 4
Structure and computed PXRD pattern of Na3Ce2C4O12F (a cell relaxed with GGA-PBE; Cu Kα (weighted mean of Kα1 and Kα2)).
Intensities are scaled so that the largest is 100.

Structure:
```
data_Na3Ce2C4O12F
_chemical_formula_sum 'Na6 Ce4 C8 O24 F2'
_cell_length_a 5.1259
_cell_length_b 5.1259
_cell_length_c 22.9243
_cell_angle_alpha 90.00
_cell_angle_beta 90.00
_cell_angle_gamma 120.00
_symmetry_space_group_name_H-M 'P 63/m m c'
_symmetry_Int_Tables_number 194
_symmetry_space_group_name_Hall '-P 6c 2c'
loop_
_atom_site_label
_atom_site_fract_x
_atom_site_fract_y
_atom_site_fract_z
_atom_site_occupancy
Na1 0.0000 0.0000 0.2500 1
Na2 0.3333 0.6667 0.0246 1
Ce1 0.3333 0.6667 0.6455 1
C1 0.0000 0.0000 0.0635 1
C2 0.3333 0.6667 0.1762 1
O1 0.1464 0.2928 0.5626 1
O2 0.1876 0.3751 0.1749 1
F1 0.3333 0.6667 0.7500 1
```

Largest 10 diffraction maxima, by intensity, 10 to 90 degrees two-theta:
| hkl | 2θ/deg | intensity |
| --- | --- | --- |
| 1 0 1 | 20.38 | 100 |
| 1 0 5 | 27.98 | 68 |
| 1 1 0 | 35.01 | 68 |
| 2 0 1 | 40.85 | 68 |
| 2 0 5 | 45.40 | 67 |
| 0 0 4 | 15.46 | 52 |
| 1 0 6 | 30.88 | 46 |
| 1 0 4 | 25.38 | 34 |
| 2 0 9 | 54.86 | 34 |
| 1 1 10 | 53.64 | 28 |

No. 5
Structure and computed PXRD pattern of BeV4Ge2 (a cell relaxed with GGA-PBE; Cu Kα (weighted mean of Kα1 and Kα2)).
Intensities are scaled so that the largest is 100.

Structure:
```
data_BeV4Ge2
_chemical_formula_sum 'Be2 V8 Ge4'
_cell_length_a 4.794
_cell_length_b 6.003
_cell_length_c 7.398
_cell_angle_alpha 76.49
_cell_angle_beta 71.15
_cell_angle_gamma 66.55
_symmetry_space_group_name_H-M 'P -1'
_symmetry_Int_Tables_number 2
_symmetry_space_group_name_Hall '-P 1'
loop_
_atom_site_label
_atom_site_fract_x
_atom_site_fract_y
_atom_site_fract_z
_atom_site_occupancy
Be1 0.181 0.085 0.049 1
V1 0.003 0.226 0.760 1
V2 0.035 0.794 0.635 1
V3 0.442 0.740 0.877 1
V4 0.490 0.774 0.239 1
Ge1 0.000 0.500 0.000 1
Ge2 0.310 0.438 0.443 1
Ge3 0.500 0.000 0.500 1
```

Largest 10 diffraction maxima, by intensity, 10 to 90 degrees two-theta:
| hkl | 2θ/deg | intensity |
| --- | --- | --- |
| 2 1 3 | 46.00 | 100 |
| 2 0 0 | 42.58 | 92 |
| 1 2 -1 | 38.15 | 90 |
| -1 2 1 | 47.72 | 79 |
| 1 -2 1 | 46.84 | 76 |
| 0 2 2 | 39.40 | 70 |
| 0 0 1 | 12.74 | 67 |
| 1 0 -3 | 49.45 | 65 |
| 0 1 3 | 40.41 | 65 |
| 2 2 0 | 43.85 | 57 |

No. 6
Structure and computed PXRD pattern of Nd5Os2Pd (a cell relaxed with GGA-PBE; Cu Kα (weighted mean of Kα1 and Kα2)).
Intensities are scaled so that the largest is 100.

Structure:
```
data_Nd5Os2Pd
_chemical_formula_sum 'Nd20 Os8 Pd4'
_cell_length_a 7.807
_cell_length_b 7.807
_cell_length_c 13.943
_cell_angle_alpha 90.00
_cell_angle_beta 90.00
_cell_angle_gamma 90.00
_symmetry_space_group_name_H-M 'I 4/m c m'
_symmetry_Int_Tables_number 140
_symmetry_space_group_name_Hall '-I 4 2c'
loop_
_atom_site_label
_atom_site_fract_x
_atom_site_fract_y
_atom_site_fract_z
_atom_site_occupancy
Nd1 0.000 0.000 0.000 1
Nd2 0.173 0.327 0.138 1
Os1 0.122 0.378 0.500 1
Pd1 0.000 0.000 0.250 1
```

Largest 10 diffraction maxima, by intensity, 10 to 90 degrees two-theta:
| hkl | 2θ/deg | intensity |
| --- | --- | --- |
| 2 1 3 | 32.06 | 100 |
| 3 1 0 | 36.39 | 46 |
| 2 0 4 | 34.50 | 36 |
| 0 0 2 | 12.70 | 29 |
| 2 1 5 | 41.44 | 23 |
| 3 2 1 | 42.23 | 15 |
| 3 1 8 | 65.56 | 14 |
| 0 0 8 | 52.48 | 14 |
| 0 0 6 | 38.73 | 14 |
| 4 1 1 | 48.50 | 13 |

No. 7
Structure and computed PXRD pattern of Pu2InSb3Rh4 (a cell relaxed with GGA-PBE; Cu Kα (weighted mean of Kα1 and Kα2)).
Intensities are scaled so that the largest is 100.

Structure:
```
data_Pu2InSb3Rh4
_chemical_formula_sum 'Pu2 In1 Sb3 Rh4'
_cell_length_a 4.333
_cell_length_b 4.333
_cell_length_c 11.289
_cell_angle_alpha 90.00
_cell_angle_beta 90.00
_cell_angle_gamma 90.00
_symmetry_space_group_name_H-M 'P -4 m 2'
_symmetry_Int_Tables_number 115
_symmetry_space_group_name_Hall 'P -4 -2'
loop_
_atom_site_label
_atom_site_fract_x
_atom_site_fract_y
_atom_site_fract_z
_atom_site_occupancy
Pu1 0.000 0.500 0.249 1
In1 0.500 0.500 0.000 1
Sb1 0.000 0.000 0.000 1
Sb2 0.000 0.500 0.633 1
Rh1 0.000 0.000 0.500 1
Rh2 0.000 0.500 0.858 1
Rh3 0.500 0.500 0.500 1
```

Largest 10 diffraction maxima, by intensity, 10 to 90 degrees two-theta:
| hkl | 2θ/deg | intensity |
| --- | --- | --- |
| 1 1 2 | 33.27 | 100 |
| 1 0 3 | 31.49 | 60 |
| 2 0 0 | 41.69 | 52 |
| 1 0 5 | 45.29 | 34 |
| 2 1 3 | 53.17 | 28 |
| 2 1 5 | 63.24 | 25 |
| 3 1 2 | 70.76 | 23 |
| 2 2 0 | 60.43 | 17 |
| 1 1 0 | 29.15 | 16 |
| 2 0 8 | 81.38 | 13 |

No. 8
Structure and computed PXRD pattern of Tb12Sm2Er5 (a cell relaxed with GGA-PBE; Cu Kα (weighted mean of Kα1 and Kα2)).
Intensities are scaled so that the largest is 100.

Structure:
```
data_Tb12Sm2Er5
_chemical_formula_sum 'Tb24 Sm4 Er10'
_cell_length_a 15.733
_cell_length_b 9.205
_cell_length_c 8.531
_cell_angle_alpha 90.00
_cell_angle_beta 91.01
_cell_angle_gamma 90.00
_symmetry_space_group_name_H-M 'C 1 2/m 1'
_symmetry_Int_Tables_number 12
_symmetry_space_group_name_Hall '-C 2y'
loop_
_atom_site_label
_atom_site_fract_x
_atom_site_fract_y
_atom_site_fract_z
_atom_site_occupancy
Tb1 0.059 0.000 0.333 1
Tb2 0.092 0.500 0.883 1
Tb3 0.126 0.192 0.658 1
Tb4 0.155 0.319 0.242 1
Sm1 0.000 0.180 0.000 1
Er1 0.000 0.500 0.500 1
Er2 0.198 0.000 0.012 1
Er3 0.231 0.500 0.574 1
```

Largest 10 diffraction maxima, by intensity, 10 to 90 degrees two-theta:
| hkl | 2θ/deg | intensity |
| --- | --- | --- |
| 5 1 -1 | 31.66 | 100 |
| 1 3 1 | 31.50 | 87 |
| 2 2 -2 | 30.62 | 72 |
| 1 1 -3 | 33.37 | 72 |
| 4 0 2 | 31.21 | 57 |
| 3 3 1 | 35.59 | 48 |
| 4 2 1 | 31.85 | 44 |
| 1 5 -3 | 60.12 | 39 |
| 1 3 -2 | 36.47 | 37 |
| 3 3 4 | 55.57 | 32 |

No. 9
Structure and computed PXRD pattern of Sm2YBr5 (a cell relaxed with GGA-PBE; Cu Kα (weighted mean of Kα1 and Kα2)).
Intensities are scaled so that the largest is 100.

Structure:
```
data_Sm2YBr5
_chemical_formula_sum 'Sm8 Y4 Br20'
_cell_length_a 11.416
_cell_length_b 15.686
_cell_length_c 7.019
_cell_angle_alpha 90.00
_cell_angle_beta 90.00
_cell_angle_gamma 90.00
_symmetry_space_group_name_H-M 'P n n m'
_symmetry_Int_Tables_number 58
_symmetry_space_group_name_Hall '-P 2 2n'
loop_
_atom_site_label
_atom_site_fract_x
_atom_site_fract_y
_atom_site_fract_z
_atom_site_occupancy
Sm1 0.000 0.000 0.250 1
Sm2 0.138 0.299 0.000 1
Y1 0.219 0.277 0.500 1
Br1 0.035 0.156 0.500 1
Br2 0.103 0.655 0.000 1
Br3 0.142 0.117 0.000 1
Br4 0.242 0.921 0.251 1
```

Largest 10 diffraction maxima, by intensity, 10 to 90 degrees two-theta:
| hkl | 2θ/deg | intensity |
| --- | --- | --- |
| 0 2 2 | 27.85 | 100 |
| 2 6 0 | 37.84 | 75 |
| 1 6 0 | 35.22 | 65 |
| 2 1 0 | 16.53 | 48 |
| 1 3 0 | 18.66 | 43 |
| 1 5 2 | 39.33 | 37 |
| 3 2 0 | 26.03 | 36 |
| 3 3 2 | 38.93 | 35 |
| 5 1 1 | 41.98 | 33 |
| 4 0 2 | 40.75 | 33 |

No. 10
Structure and computed PXRD pattern of KSmAuO2 (a cell relaxed with GGA-PBE; Cu Kα (weighted mean of Kα1 and Kα2)).
Intensities are scaled so that the largest is 100.

Structure:
```
data_KSmAuO2
_chemical_formula_sum 'K2 Sm2 Au2 O4'
_cell_length_a 6.702
_cell_length_b 5.480
_cell_length_c 6.708
_cell_angle_alpha 90.00
_cell_angle_beta 94.56
_cell_angle_gamma 90.00
_symmetry_space_group_name_H-M 'P 1 2/c 1'
_symmetry_Int_Tables_number 13
_symmetry_space_group_name_Hall '-P 2yc'
loop_
_atom_site_label
_atom_site_fract_x
_atom_site_fract_y
_atom_site_fract_z
_atom_site_occupancy
K1 0.000 0.211 0.250 1
Sm1 0.500 0.020 0.750 1
Au1 0.500 0.500 0.000 1
O1 0.293 0.119 0.993 1
```

Largest 10 diffraction maxima, by intensity, 10 to 90 degrees two-theta:
| hkl | 2θ/deg | intensity |
| --- | --- | --- |
| 1 0 0 | 13.25 | 100 |
| 0 1 2 | 31.34 | 31 |
| 1 2 0 | 35.41 | 28 |
| 2 0 0 | 26.69 | 27 |
| 1 1 -2 | 33.29 | 25 |
| 1 1 2 | 35.01 | 22 |
| 2 1 -2 | 40.14 | 20 |
| 2 1 2 | 43.06 | 16 |
| 2 2 0 | 42.68 | 12 |
| 0 2 0 | 32.68 | 12 |